(1)
This entry pairs a crystal structure of NbS3Cl6 with its computed XRD peak list. Radiation: CuKα. Structure: a PBE-relaxed structure.

Cell lengths 13.9034, 13.9034, 13.3698 Å; angles 90.00, 90.00, 120.00 degrees
Space group R-3 (No. 148, hexagonal axes)
Symmetry-distinct sites (fractional):
Nb 0.0000 0.0000 0.0000
Nb 0.0000 0.0000 0.5000
S 0.0579 0.5087 0.4589
Cl 0.0211 0.1500 0.3974
Cl 0.0709 0.9086 0.1022

Top 10 peaks for 15 to 90 degrees two-theta, sorted by position:
two_theta, d (Å), I_rel
15.16, 5.845, 65.2
16.15, 5.489, 21.9
19.85, 4.473, 100.0
23.65, 3.761, 61.6
29.95, 2.984, 61.7
30.44, 2.937, 20.9
32.64, 2.744, 36.9
38.09, 2.362, 51.2
42.45, 2.129, 30.4
44.01, 2.057, 20.5

(2)
This entry pairs a crystal structure of NbSbW2Cl with its computed XRD peak list. Radiation: CuKα. Structure: a PBE-relaxed structure.

Cell lengths 4.909, 4.909, 5.346 Å; angles 90.00, 90.00, 90.00 degrees
Space group P4/mmm (No. 123)
Symmetry-distinct sites (fractional):
Nb 0.000 0.000 0.000
Sb 0.000 0.000 0.500
W 0.000 0.500 0.000
Cl 0.500 0.500 0.500

Top 10 peaks for 15 to 90 degrees two-theta, sorted by position:
two_theta, d (Å), I_rel
16.58, 5.346, 54.3
18.07, 4.909, 33.4
30.71, 2.911, 100.0
33.53, 2.673, 41.9
36.61, 2.454, 65.9
40.44, 2.230, 24.3
50.49, 1.808, 52.3
52.75, 1.735, 22.9
62.29, 1.491, 26.6
63.96, 1.456, 25.5

(3)
This entry pairs a crystal structure of Nb3Se5Cl7 with its computed XRD peak list. Radiation: CuKα. Structure: a PBE-relaxed structure.

Cell lengths 8.633, 12.767, 8.737 Å; angles 90.00, 110.19, 90.00 degrees
Space group P2_1/m (No. 11)
Symmetry-distinct sites (fractional):
Nb 0.032 0.250 0.106
Nb 0.441 0.110 0.473
Se 0.243 0.750 0.925
Se 0.345 0.526 0.650
Se 0.385 0.532 0.239
Cl 0.055 0.118 0.930
Cl 0.115 0.116 0.337
Cl 0.324 0.750 0.437
Cl 0.353 0.250 0.640
Cl 0.384 0.250 0.236

Top 10 peaks for 15 to 90 degrees two-theta, sorted by position:
two_theta, d (Å), I_rel
17.66, 5.023, 100.0
17.85, 4.969, 52.3
24.95, 3.569, 22.4
29.51, 3.027, 18.7
30.27, 2.953, 56.1
33.93, 2.642, 22.5
35.00, 2.564, 34.1
35.79, 2.509, 22.8
41.99, 2.152, 33.8
43.93, 2.061, 32.2

(4)
This entry pairs a crystal structure of Nb3TeCl7 with its computed XRD peak list. Radiation: CuKα. Structure: a PBE-relaxed structure.

Cell lengths 6.9870, 6.9870, 14.0915 Å; angles 90.00, 90.00, 120.00 degrees
Space group P-3m1 (No. 164)
Symmetry-distinct sites (fractional):
Nb 0.0538 0.5269 0.2420
Te 0.3333 0.6667 0.3940
Cl 0.1674 0.3348 0.6669
Cl 0.1694 0.3388 0.1295
Cl 0.3333 0.6667 0.8552

Top 10 peaks for 15 to 90 degrees two-theta, sorted by position:
two_theta, d (Å), I_rel
15.94, 5.560, 41.7
19.34, 4.590, 25.3
28.52, 3.130, 11.5
32.20, 2.780, 100.0
36.21, 2.481, 12.2
39.25, 2.295, 62.0
41.20, 2.191, 15.8
44.04, 2.056, 26.1
49.12, 1.855, 28.2
52.38, 1.747, 25.4

(5)
This entry pairs a crystal structure of NbTeCl9 with its computed XRD peak list. Radiation: CuKα. Structure: a PBE-relaxed structure.

Cell lengths 6.743, 10.001, 11.955 Å; angles 107.25, 104.13, 91.38 degrees
Space group P-1 (No. 2)
Symmetry-distinct sites (fractional):
Nb 0.130 0.270 0.216
Te 0.304 0.344 0.663
Cl 0.015 0.934 0.770
Cl 0.019 0.787 0.430
Cl 0.101 0.740 0.964
Cl 0.106 0.600 0.668
Cl 0.274 0.504 0.225
Cl 0.283 0.375 0.862
Cl 0.374 0.314 0.419
Cl 0.379 0.163 0.130
Cl 0.481 0.141 0.653

Top 10 peaks for 15 to 90 degrees two-theta, sorted by position:
two_theta, d (Å), I_rel
15.69, 5.647, 71.5
15.88, 5.579, 68.9
16.10, 5.505, 100.0
17.32, 5.121, 58.7
18.68, 4.749, 41.3
22.02, 4.036, 40.8
29.96, 2.983, 26.1
30.54, 2.927, 27.4
38.98, 2.310, 33.4
39.42, 2.286, 39.9

(6)
This entry pairs a crystal structure of NbTeCl9 with its computed XRD peak list. Radiation: CuKα. Structure: a PBE-relaxed structure.

Cell lengths 22.986, 7.004, 20.990 Å; angles 90.00, 109.01, 90.00 degrees
Space group C2/c (No. 15)
Symmetry-distinct sites (fractional):
Nb 0.141 0.210 0.372
Te 0.082 0.306 0.166
Cl 0.029 0.434 0.601
Cl 0.037 0.085 0.351
Cl 0.086 0.112 0.075
Cl 0.089 0.472 0.293
Cl 0.135 0.386 0.462
Cl 0.139 0.033 0.267
Cl 0.180 0.438 0.182
Cl 0.182 0.062 0.932
Cl 0.235 0.338 0.375

Top 10 peaks for 15 to 90 degrees two-theta, sorted by position:
two_theta, d (Å), I_rel
15.84, 5.595, 100.0
16.32, 5.433, 82.0
17.16, 5.167, 54.4
17.88, 4.961, 95.5
23.25, 3.827, 84.1
24.94, 3.571, 69.6
28.74, 3.106, 68.6
30.07, 2.972, 79.6
31.24, 2.863, 82.0
38.23, 2.354, 70.4

(7)
This entry pairs a crystal structure of Nb3TeCl7 with its computed XRD peak list. Radiation: CuKα. Structure: a PBE-relaxed structure.

Cell lengths 12.104, 6.988, 9.467 Å; angles 90.00, 129.12, 90.00 degrees
Space group Cm (No. 8)
Symmetry-distinct sites (fractional):
Nb 0.000 0.000 0.000
Nb 0.210 0.210 0.000
Te 0.496 0.500 0.709
Cl 0.054 0.500 0.825
Cl 0.164 0.246 0.216
Cl 0.303 0.251 0.825
Cl 0.399 0.500 0.187
Cl 0.410 0.000 0.216

Top 10 peaks for 15 to 90 degrees two-theta, sorted by position:
two_theta, d (Å), I_rel
15.83, 5.598, 100.0
28.29, 3.155, 12.4
31.93, 2.803, 83.8
32.11, 2.787, 44.8
38.44, 2.342, 41.4
38.66, 2.329, 18.1
38.76, 2.323, 19.1
39.88, 2.261, 16.6
47.92, 1.898, 21.3
52.37, 1.747, 31.8

(8)
This entry pairs a crystal structure of Nb2Te4Cl with its computed XRD peak list. Radiation: CuKα. Structure: a PBE-relaxed structure.

Cell lengths 14.895, 7.642, 7.537 Å; angles 90.00, 112.73, 90.00 degrees
Space group Cm (No. 8)
Symmetry-distinct sites (fractional):
Nb 0.000 0.000 0.000
Nb 0.029 0.000 0.437
Nb 0.203 0.305 0.041
Te 0.013 0.244 0.730
Te 0.182 0.000 0.289
Te 0.199 0.000 0.807
Te 0.273 0.500 0.814
Te 0.318 0.500 0.378
Te 0.422 0.246 0.175
Cl 0.098 0.500 0.143
Cl 0.352 0.000 0.747

Top 10 peaks for 15 to 90 degrees two-theta, sorted by position:
two_theta, d (Å), I_rel
26.70, 3.339, 40.1
27.37, 3.258, 29.9
33.26, 2.693, 40.4
33.54, 2.672, 100.0
34.69, 2.586, 27.5
34.90, 2.571, 73.8
40.84, 2.210, 25.8
43.53, 2.079, 48.3
47.59, 1.911, 29.4
48.86, 1.864, 29.5

(9)
This entry pairs a crystal structure of Ti2NbCl6 with its computed XRD peak list. Radiation: CuKα. Structure: a PBE-relaxed structure.

Cell lengths 13.469, 11.078, 5.520 Å; angles 90.00, 101.08, 90.00 degrees
Space group C2/c (No. 15)
Symmetry-distinct sites (fractional):
Ti 0.190 0.071 0.284
Nb 0.000 0.431 0.250
Cl 0.106 0.098 0.621
Cl 0.119 0.265 0.143
Cl 0.129 0.421 0.652

Top 10 peaks for 15 to 90 degrees two-theta, sorted by position:
two_theta, d (Å), I_rel
16.00, 5.539, 56.7
21.71, 4.094, 76.0
25.00, 3.561, 35.6
28.26, 3.157, 63.6
33.08, 2.708, 36.6
33.88, 2.646, 54.0
36.36, 2.471, 30.0
42.77, 2.114, 34.9
47.93, 1.898, 100.0
55.90, 1.645, 35.6